Structure and calculated X-ray diffraction stick pattern of Sr3Se2S (the GGA-PBE geometry in Alexandria; Cu Kα (weighted mean of Kα1 and Kα2)).
Kinematic intensities with the Lorentz-polarization factor, no thermal factor.

```
data_Sr3Se2S
_cell_length_a 7.6266
_cell_length_b 7.6266
_cell_length_c 7.6266
_cell_angle_alpha 146.50
_cell_angle_beta 131.80
_cell_angle_gamma 59.98
_space_group_name_H-M_alt 'P 1'
_space_group_IT_number 1
loop_
_space_group_symop_operation_xyz
'x,y,z'
loop_
_atom_site_label
_atom_site_type_symbol
_atom_site_fract_x
_atom_site_fract_y
_atom_site_fract_z
_atom_site_occupancy
Sr1 Sr 0.0000 0.0000 0.0000 1
Sr2 Sr 0.3392 0.3392 0.0000 1
Sr3 Sr 0.6608 0.6608 0.0000 1
Se1 Se 0.1676 0.6676 0.5000 1
Se2 Se 0.8324 0.3324 0.5000 1
S1 S 0.5000 0.0000 0.5000 1
```

Top 12 peaks for 10 to 80 degrees two-theta, low angle first:
2theta	I_rel
24.77	4
28.28	2
28.68	100
41.01	74
48.51	2
50.81	26
59.39	12
67.23	11
67.27	16
67.35	6
74.68	16
74.78	8